Simulated PXRD pattern
Compound: Zr4FeNiC2
Radiation: λ = 1.5418 Å (Cu Kα)
Structure: a cell relaxed with GGA-PBE
Lines closer than 0.1° are merged.

Main lines, in order of rising 2θ (2θ = 10–80°):
hkl 1 0 0, 31.36 deg, d 2.853, I = 25
hkl 1 0 1, 32.10 deg, d 2.789, I = 6
hkl 1 0 3, 37.56 deg, d 2.395, I = 100
hkl 0 0 6, 40.98 deg, d 2.202, I = 12
hkl 1 0 6, 52.49 deg, d 1.743, I = 11
hkl 1 1 0, 55.81 deg, d 1.647, I = 24
hkl 1 0 7, 58.64 deg, d 1.574, I = 7
hkl 2 0 3, 69.23 deg, d 1.357, I = 15
hkl 1 1 6, 71.53 deg, d 1.319, I = 13
hkl 1 0 9, 72.39 deg, d 1.306, I = 6

Structure:
Lattice parameters (Å, degrees): 3.2942 3.2942 13.2143 90.00 90.00 120.00
Space group P-6m2 (No. 187)
Asymmetric unit:
Zr 0.0000 0.0000 0.1474
Zr 0.6667 0.3333 0.3492
Fe 0.0000 0.0000 0.5000
Ni 0.6667 0.3333 0.0000
C 0.3333 0.6667 0.2461

***

Simulated PXRD pattern
Compound: FePbC2
Radiation: λ = 1.5418 Å (Cu Kα)
Structure: a cell relaxed with GGA-PBE
Lines closer than 0.1° are merged.

Main lines, in order of rising 2θ (2θ = 10–80°):
hkl 1 1 0, 22.65 deg, d 3.927, I = 63
hkl 0 0 2, 24.54 deg, d 3.627, I = 59
hkl 1 1 1, 27.62 deg, d 3.230, I = 52
hkl 1 1 -2, 30.56 deg, d 2.925, I = 86
hkl 2 0 0, 32.72 deg, d 2.737, I = 69
hkl 0 2 1, 34.14 deg, d 2.626, I = 100
hkl 2 0 -2, 36.10 deg, d 2.488, I = 47
hkl 1 1 2, 36.48 deg, d 2.463, I = 77
hkl 1 1 -3, 40.33 deg, d 2.237, I = 31
hkl 2 2 -1, 45.77 deg, d 1.982, I = 57

Structure:
Lattice parameters (Å, degrees): 5.6367 5.6351 7.4687 90.00 103.78 90.00
Space group Cc (No. 9)
Asymmetric unit:
Fe 0.0000 0.0835 0.0000
Pb 0.0725 0.4027 0.6811
C 0.0882 0.0743 0.2730
C 0.2389 0.1829 0.4138

***

Simulated PXRD pattern
Compound: PmFe2C2
Radiation: λ = 1.5418 Å (Cu Kα)
Structure: a cell relaxed with GGA-PBE
Lines closer than 0.1° are merged.

Main lines, in order of rising 2θ (2θ = 10–80°):
hkl 1 1 1, 20.69 deg, d 4.294, I = 20
hkl 0 2 2, 28.50 deg, d 3.131, I = 45
hkl 1 1 3, 34.55 deg, d 2.596, I = 100
hkl 2 0 2, 36.16 deg, d 2.484, I = 40
hkl 2 2 0, 37.05 deg, d 2.426, I = 97
hkl 0 4 0, 42.36 deg, d 2.134, I = 36
hkl 1 3 3, 46.12 deg, d 1.968, I = 54
hkl 1 1 5, 53.14 deg, d 1.724, I = 22
hkl 3 1 3, 56.61 deg, d 1.626, I = 24
hkl 0 2 6, 64.42 deg, d 1.446, I = 23

Structure:
Lattice parameters (Å, degrees): 5.8987 8.5346 9.2191 90.00 90.00 90.00
Space group Fddd (No. 70, origin choice 2)
Asymmetric unit:
Pm 0.1250 0.1250 0.1250
Fe 0.1250 0.1250 0.4928
C 0.1250 0.3060 0.6250

***

Simulated PXRD pattern
Compound: Pr2Fe17C3
Radiation: λ = 1.5418 Å (Cu Kα)
Structure: a cell relaxed with GGA-PBE
Lines closer than 0.1° are merged.

Main lines, in order of rising 2θ (2θ = 10–80°):
hkl 1 1 3, 29.63 deg, d 3.015, I = 36
hkl 3 0 0, 35.48 deg, d 2.530, I = 39
hkl 0 2 4, 37.34 deg, d 2.408, I = 32
hkl 2 2 0, 41.20 deg, d 2.191, I = 76
hkl 3 0 3, 41.80 deg, d 2.161, I = 100
hkl 2 1 4, 42.85 deg, d 2.111, I = 21
hkl 0 0 6, 43.57 deg, d 2.077, I = 33
hkl 2 2 3, 46.87 deg, d 1.938, I = 20
hkl 1 4 3, 60.14 deg, d 1.539, I = 19
hkl 2 2 6, 61.51 deg, d 1.508, I = 19

Structure:
Lattice parameters (Å, degrees): 8.7649 8.7649 12.4649 90.00 90.00 120.00
Space group R-3m (No. 166, hexagonal axes)
Asymmetric unit:
Pr 0.0000 0.0000 0.1524
Fe 0.0000 0.0000 0.4056
Fe 0.0000 0.2840 0.5000
Fe 0.0000 0.5000 0.0000
Fe 0.0146 0.5073 0.3467
C 0.0000 0.5000 0.5000

***

Simulated PXRD pattern
Compound: Fe4SnC2S
Radiation: λ = 1.5418 Å (Cu Kα)
Structure: a cell relaxed with GGA-PBE
Lines closer than 0.1° are merged.

Main lines, in order of rising 2θ (2θ = 10–80°):
hkl 1 0 0, 33.91 deg, d 2.644, I = 32
hkl 1 0 2, 37.64 deg, d 2.390, I = 23
hkl 0 0 5, 40.32 deg, d 2.237, I = 8
hkl 1 0 3, 41.89 deg, d 2.156, I = 100
hkl 0 0 6, 48.86 deg, d 1.864, I = 9
hkl 1 0 5, 53.68 deg, d 1.708, I = 7
hkl 1 1 0, 60.68 deg, d 1.526, I = 25
hkl 1 0 6, 60.80 deg, d 1.523, I = 12
hkl 2 0 3, 76.46 deg, d 1.246, I = 16
hkl 1 0 8, 77.19 deg, d 1.236, I = 8

Structure:
Lattice parameters (Å, degrees): 3.0525 3.0525 11.1841 90.00 90.00 120.00
Space group P-6m2 (No. 187)
Asymmetric unit:
Fe 0.0000 0.0000 0.1472
Fe 0.6667 0.3333 0.3068
Sn 0.0000 0.0000 0.5000
C 0.3333 0.6667 0.2318
S 0.6667 0.3333 0.0000

***

Simulated PXRD pattern
Compound: U6Fe16Si7C
Radiation: λ = 1.5418 Å (Cu Kα)
Structure: a cell relaxed with GGA-PBE
Lines closer than 0.1° are merged.

Main lines, in order of rising 2θ (2θ = 10–80°):
hkl 2 2 2, 26.59 deg, d 3.352, I = 100
hkl 4 0 0, 30.80 deg, d 2.903, I = 26
hkl 3 3 1, 33.64 deg, d 2.664, I = 25
hkl 4 2 2, 37.96 deg, d 2.370, I = 36
hkl 3 3 3, 40.36 deg, d 2.235, I = 97
hkl 4 4 0, 44.12 deg, d 2.053, I = 98
hkl 5 5 1, 56.61 deg, d 1.626, I = 26
hkl 7 3 1, 61.32 deg, d 1.512, I = 21
hkl 7 3 3, 65.84 deg, d 1.419, I = 25
hkl 8 2 2, 68.58 deg, d 1.368, I = 24

Structure:
Lattice parameters (Å, degrees): 11.6117 11.6117 11.6117 90.00 90.00 90.00
Space group Fm-3m (No. 225)
Asymmetric unit:
U 0.0000 0.0000 0.2145
Fe 0.1225 0.1225 0.3775
Fe 0.1750 0.1750 0.1750
Si 0.0000 0.0000 0.5000
Si 0.0000 0.2500 0.2500
C 0.0000 0.0000 0.0000